Record 1
Structure and theoretical XRD peak list of Cs2GaHgAu4 (a PBE-relaxed structure; copper Kα).
No peak broadening, texture or thermal motion is included.

Top 12 peaks for 2θ = 10–90°, by intensity:
d_spacing  2θ (°)  intensity
3.386  26.32  100
2.955  30.24  76
2.528  35.52  69
3.686  24.15  63
1.865  48.83  47
1.985  45.70  45
5.956  14.87  38
1.897  47.96  37
2.846  31.43  28
2.978  30.01  25
2.637  34.00  21
3.029  29.49  21

Structure:
```
16
Lattice="0.0000 6.8390 12.1165 3.2405 0.0000 12.1165 3.2405 6.8390 0.0000" Properties=species:S:1:pos:R:3 pbc="T T T"
Cs 2.4304 5.1292 1.5925
Cs 4.0506 8.5487 7.6508
Cs 2.4304 5.1292 16.5823
Cs 4.0506 8.5487 22.6406
Ga 2.4304 5.1292 9.0874
Ga 4.0506 8.5487 15.1457
Hg 0.8101 1.7097 3.0291
Hg 5.6709 11.9682 21.2039
Au 3.6838 3.8737 7.2633
Au 3.6838 6.3847 10.9115
Au 5.3040 7.2932 16.9697
Au 5.3040 9.8042 13.3216
Au 1.1770 3.8737 10.9115
Au 1.1770 6.3847 7.2633
Au 2.7972 7.2932 13.3216
Au 2.7972 9.8042 16.9697
```


Record 2
Structure and theoretical XRD peak list of CsNaGaAu (a PBE-relaxed structure; copper Kα).
No peak broadening, texture or thermal motion is included.

Top 12 peaks for 2θ = 10–90°, by intensity:
d_spacing  2θ (°)  intensity
7.772  11.39  100
3.289  27.11  76
3.770  23.60  74
2.300  39.17  62
3.029  29.49  48
2.555  35.12  30
3.886  22.89  29
2.205  40.92  29
1.721  53.21  27
2.591  34.63  23
1.978  45.88  19
1.458  63.85  14

Structure:
```
8
Lattice="7.9653 0.0000 0.0000 0.0000 4.6010 0.0000 -2.6838 0.0000 7.7716" Properties=species:S:1:pos:R:3 pbc="T T T"
Cs 0.0000 0.0000 0.0000
Cs 3.9827 2.3005 0.0000
Na 1.3015 2.3005 3.4737
Na 5.2841 0.0000 3.4737
Ga -0.0269 0.0000 5.0663
Ga 3.9558 2.3005 5.0663
Au -1.3542 2.3005 5.0282
Au 2.6284 0.0000 5.0282
```


Record 3
Structure and theoretical XRD peak list of Cs2GaSiAu6 (a PBE-relaxed structure; copper Kα).
No peak broadening, texture or thermal motion is included.

Top 12 peaks for 2θ = 10–90°, by intensity:
d_spacing  2θ (°)  intensity
2.902  30.81  100
2.475  36.29  50
1.499  61.91  28
2.084  43.42  19
1.750  52.27  18
1.791  51.00  15
2.298  39.21  14
5.188  17.09  12
2.594  34.58  11
1.684  54.49  11
1.340  70.23  9
1.107  88.28  8

Structure:
```
10
Lattice="4.9527 -4.9483 0.0000 4.9527 4.9483 0.0000 -4.9508 0.0000 5.1876" Properties=species:S:1:pos:R:3 pbc="T T T"
Cs 4.9527 2.4752 0.0000
Cs 4.9527 -2.4752 0.0000
Ga 2.4887 0.0000 1.7160
Si 7.4365 0.0000 1.7237
Au -2.4706 0.0000 4.3530
Au 2.4709 2.5251 2.5803
Au -0.0428 0.0000 2.5792
Au 2.4834 0.0000 4.3929
Au 2.4709 -2.5251 2.5803
Au 5.0128 0.0000 2.5806
```


Record 4
Structure and theoretical XRD peak list of Cs2Ge4Au5 (a PBE-relaxed structure; copper Kα).
No peak broadening, texture or thermal motion is included.

Top 12 peaks for 2θ = 10–90°, by intensity:
d_spacing  2θ (°)  intensity
3.154  28.29  100
3.396  26.25  54
2.210  40.84  50
6.791  13.04  49
2.804  31.91  47
1.910  47.60  46
2.337  38.53  43
2.288  39.38  32
2.817  31.77  29
3.454  25.79  24
1.827  49.91  21
1.781  51.30  19

Structure:
```
11
Lattice="0.0000 6.1925 6.7911 3.5616 0.0000 6.7911 3.5616 6.1925 0.0000" Properties=species:S:1:pos:R:3 pbc="T T T"
Cs 3.5616 1.8403 6.7911
Cs 3.5616 10.5446 6.7911
Ge 3.5616 4.7196 4.6119
Ge 3.5616 7.6653 4.6119
Ge 3.5616 4.7196 8.9704
Ge 3.5616 7.6653 8.9704
Au 1.7808 0.0000 3.3956
Au 1.7808 3.0962 3.3956
Au 1.7808 6.1925 3.3956
Au 3.5616 6.1925 6.7911
Au 5.3423 9.2887 10.1867
```